Entry 1:
Diffraction record for Sc4CdAsC2. The powder XRD pattern is theoretical, not measured: it uses a DFT-relaxed cell (GGA-PBE, OQMD) and Cu Kα (λ = 1.5418 Å).
Neutral-atom scattering factors, no anomalous dispersion.

Crystal structure
Unit cell a=3.356 b=3.356 c=14.343 alpha=90.00 beta=90.00 gamma=120.00
Positions (direct):
1 Sc 0.000 0.000 0.145
2 Sc 0.000 0.000 0.855
3 Sc 0.667 0.333 0.315
4 Sc 0.667 0.333 0.685
5 Cd 0.000 0.000 0.500
6 As 0.667 0.333 0.000
7 C 0.333 0.667 0.233
8 C 0.333 0.667 0.767

Most intense lines, 2θ = 5–70°, by angle:
| 2θ/deg | I/Imax |
| --- | --- |
| 12.34 | 14 |
| 30.76 | 23 |
| 31.40 | 12 |
| 33.26 | 13 |
| 36.17 | 100 |
| 37.63 | 14 |
| 49.36 | 13 |
| 54.69 | 22 |
| 67.34 | 14 |
| 68.29 | 14 |



Entry 2:
Diffraction record for ErSc3C2S2. The powder XRD pattern is theoretical, not measured: it uses a DFT-relaxed cell (GGA-PBE, OQMD) and Cu Kα (λ = 1.5418 Å).
Neutral-atom scattering factors, no anomalous dispersion.

Crystal structure
Unit cell a=3.505 b=3.505 c=12.154 alpha=90.00 beta=90.00 gamma=120.00
Positions (direct):
1 Er 0.000 0.000 0.000
2 Sc 0.000 0.000 0.699
3 Sc 0.333 0.667 0.211
4 Sc 0.333 0.667 0.499
5 C 0.667 0.333 0.110
6 C 0.667 0.333 0.599
7 S 0.000 0.000 0.355
8 S 0.333 0.667 0.843

Most intense lines, 2θ = 5–70°, by angle:
| 2θ/deg | I/Imax |
| --- | --- |
| 7.27 | 85 |
| 14.58 | 22 |
| 29.42 | 45 |
| 30.35 | 35 |
| 32.99 | 22 |
| 37.01 | 100 |
| 42.08 | 16 |
| 52.20 | 27 |
| 54.47 | 18 |
| 65.70 | 20 |



Entry 3:
Diffraction record for La3Zn22. The powder XRD pattern is theoretical, not measured: it uses a DFT-relaxed cell (GGA-PBE, OQMD) and Cu Kα (λ = 1.5418 Å).
Neutral-atom scattering factors, no anomalous dispersion.

Crystal structure
Unit cell a=12.394 b=12.394 c=12.394 alpha=137.75 beta=137.75 gamma=61.29
Positions (direct):
1 La 0.125 0.875 0.250
2 La 0.254 0.504 0.750
3 La 0.496 0.746 0.750
4 La 0.504 0.254 0.250
5 La 0.746 0.496 0.250
6 La 0.875 0.125 0.750
7 Zn 0.000 0.000 0.000
8 Zn 0.000 0.000 0.500
9 Zn 0.000 0.500 0.000
10 Zn 0.043 0.319 0.239
11 Zn 0.043 0.804 0.724
12 Zn 0.116 0.220 0.603
13 Zn 0.116 0.513 0.897
14 Zn 0.138 0.737 0.401
15 Zn 0.148 0.623 0.525
16 Zn 0.164 0.263 0.901
17 Zn 0.196 0.421 0.239
18 Zn 0.196 0.957 0.776
19 Zn 0.220 0.116 0.103
20 Zn 0.263 0.164 0.401
21 Zn 0.263 0.862 0.099
22 Zn 0.319 0.043 0.739
23 Zn 0.319 0.579 0.276
24 Zn 0.377 0.402 0.525
25 Zn 0.377 0.852 0.975
26 Zn 0.402 0.377 0.025
27 Zn 0.421 0.196 0.739
28 Zn 0.421 0.681 0.224
29 Zn 0.487 0.884 0.603
30 Zn 0.500 0.000 0.500
31 Zn 0.513 0.116 0.397
32 Zn 0.579 0.319 0.776
33 Zn 0.579 0.804 0.261
34 Zn 0.598 0.623 0.975
35 Zn 0.623 0.148 0.025
36 Zn 0.623 0.598 0.475
37 Zn 0.681 0.421 0.724
38 Zn 0.681 0.957 0.261
39 Zn 0.737 0.138 0.901
40 Zn 0.737 0.836 0.599
41 Zn 0.780 0.884 0.897
42 Zn 0.804 0.043 0.224
43 Zn 0.804 0.579 0.761
44 Zn 0.836 0.737 0.099
45 Zn 0.852 0.377 0.475
46 Zn 0.862 0.263 0.599
47 Zn 0.884 0.487 0.103
48 Zn 0.884 0.780 0.397
49 Zn 0.957 0.196 0.276
50 Zn 0.957 0.681 0.761

Most intense lines, 2θ = 5–70°, by angle:
| 2θ/deg | I/Imax |
| --- | --- |
| 25.58 | 15 |
| 30.66 | 22 |
| 33.62 | 16 |
| 36.81 | 32 |
| 38.47 | 96 |
| 39.36 | 100 |
| 40.38 | 69 |
| 42.18 | 31 |
| 44.47 | 26 |
| 57.66 | 21 |



Entry 4:
Diffraction record for PrLuGa2Pd4. The powder XRD pattern is theoretical, not measured: it uses a DFT-relaxed cell (GGA-PBE, OQMD) and Cu Kα (λ = 1.5418 Å).
Neutral-atom scattering factors, no anomalous dispersion.

Crystal structure
Unit cell a=4.427 b=4.427 c=9.156 alpha=90.00 beta=90.00 gamma=120.00
Positions (direct):
1 Pr 0.000 0.000 0.000
2 Lu 0.333 0.667 0.500
3 Ga 0.667 0.333 0.258
4 Ga 0.667 0.333 0.742
5 Pd 0.000 0.000 0.339
6 Pd 0.000 0.000 0.661
7 Pd 0.333 0.667 0.184
8 Pd 0.333 0.667 0.816

Most intense lines, 2θ = 5–70°, by angle:
| 2θ/deg | I/Imax |
| --- | --- |
| 9.66 | 4 |
| 23.20 | 23 |
| 25.18 | 7 |
| 30.41 | 15 |
| 37.67 | 100 |
| 39.36 | 3 |
| 40.77 | 79 |
| 56.71 | 30 |
| 57.96 | 7 |
| 65.88 | 11 |



Entry 5:
Diffraction record for BaNaSmSe3. The powder XRD pattern is theoretical, not measured: it uses a DFT-relaxed cell (GGA-PBE, OQMD) and Cu Kα (λ = 1.5418 Å).
Neutral-atom scattering factors, no anomalous dispersion.

Crystal structure
Unit cell a=11.058 b=4.448 c=14.382 alpha=90.00 beta=90.00 gamma=90.00
Positions (direct):
1 Ba 0.241 0.250 0.002
2 Ba 0.259 0.750 0.502
3 Ba 0.741 0.250 0.498
4 Ba 0.759 0.750 0.998
5 Na 0.241 0.750 0.774
6 Na 0.259 0.250 0.274
7 Na 0.741 0.750 0.726
8 Na 0.759 0.250 0.226
9 Sm 0.009 0.750 0.253
10 Sm 0.491 0.250 0.753
11 Sm 0.509 0.750 0.247
12 Sm 0.991 0.250 0.747
13 Se 0.041 0.750 0.883
14 Se 0.060 0.250 0.386
15 Se 0.243 0.250 0.668
16 Se 0.257 0.750 0.168
17 Se 0.440 0.750 0.886
18 Se 0.459 0.250 0.383
19 Se 0.541 0.750 0.617
20 Se 0.560 0.250 0.114
21 Se 0.743 0.250 0.832
22 Se 0.757 0.750 0.332
23 Se 0.940 0.750 0.614
24 Se 0.959 0.250 0.117

Most intense lines, 2θ = 5–70°, by angle:
| 2θ/deg | I/Imax |
| --- | --- |
| 20.26 | 72 |
| 27.19 | 33 |
| 27.35 | 62 |
| 28.54 | 100 |
| 31.86 | 84 |
| 32.15 | 38 |
| 32.39 | 50 |
| 40.56 | 45 |
| 40.77 | 54 |
| 41.04 | 44 |



Entry 6:
Diffraction record for Ge3Mo2W4C3. The powder XRD pattern is theoretical, not measured: it uses a DFT-relaxed cell (GGA-PBE, OQMD) and Cu Kα (λ = 1.5418 Å).
Neutral-atom scattering factors, no anomalous dispersion.

Crystal structure
Unit cell a=5.469 b=5.469 c=12.950 alpha=102.06 beta=102.06 gamma=59.92
Positions (direct):
1 Ge 0.077 0.923 0.750
2 Ge 0.245 0.416 0.250
3 Ge 0.416 0.245 0.750
4 Ge 0.584 0.755 0.250
5 Ge 0.755 0.584 0.750
6 Ge 0.923 0.077 0.250
7 Mo 0.372 0.532 0.593
8 Mo 0.468 0.628 0.907
9 Mo 0.532 0.372 0.093
10 Mo 0.628 0.468 0.407
11 W 0.020 0.203 0.588
12 W 0.146 0.303 0.912
13 W 0.203 0.020 0.088
14 W 0.303 0.146 0.412
15 W 0.697 0.854 0.588
16 W 0.797 0.980 0.912
17 W 0.854 0.697 0.088
18 W 0.980 0.797 0.412
19 C 0.000 0.500 0.500
20 C 0.161 0.669 0.000
21 C 0.331 0.839 0.500
22 C 0.500 0.000 0.000
23 C 0.669 0.161 0.500
24 C 0.839 0.331 0.000

Most intense lines, 2θ = 5–70°, by angle:
| 2θ/deg | I/Imax |
| --- | --- |
| 14.09 | 9 |
| 18.90 | 3 |
| 28.41 | 4 |
| 32.77 | 25 |
| 33.56 | 8 |
| 39.36 | 100 |
| 43.19 | 16 |
| 55.22 | 9 |
| 55.31 | 4 |
| 58.49 | 22 |



Entry 7:
Diffraction record for KHfPdF7. The powder XRD pattern is theoretical, not measured: it uses a DFT-relaxed cell (GGA-PBE, OQMD) and Cu Kα (λ = 1.5418 Å).
Neutral-atom scattering factors, no anomalous dispersion.

Crystal structure
Unit cell a=11.235 b=7.686 c=6.122 alpha=90.00 beta=90.00 gamma=90.00
Positions (direct):
1 K 0.250 0.000 0.225
2 K 0.250 0.500 0.275
3 K 0.750 0.000 0.775
4 K 0.750 0.500 0.725
5 Hf 0.094 0.250 0.750
6 Hf 0.406 0.750 0.750
7 Hf 0.594 0.250 0.250
8 Hf 0.906 0.750 0.250
9 Pd 0.095 0.750 0.750
10 Pd 0.405 0.250 0.750
11 Pd 0.595 0.750 0.250
12 Pd 0.905 0.250 0.250
13 F 0.051 0.156 0.443
14 F 0.051 0.344 0.057
15 F 0.083 0.750 0.250
16 F 0.106 0.012 0.883
17 F 0.106 0.488 0.617
18 F 0.247 0.195 0.563
19 F 0.247 0.305 0.937
20 F 0.253 0.695 0.937
21 F 0.253 0.805 0.563
22 F 0.394 0.512 0.617
23 F 0.394 0.988 0.883
24 F 0.417 0.250 0.250
25 F 0.449 0.656 0.057
26 F 0.449 0.844 0.443
27 F 0.551 0.156 0.557
28 F 0.551 0.344 0.943
29 F 0.583 0.750 0.750
30 F 0.606 0.012 0.117
31 F 0.606 0.488 0.383
32 F 0.747 0.195 0.437
33 F 0.747 0.305 0.063
34 F 0.753 0.695 0.063
35 F 0.753 0.805 0.437
36 F 0.894 0.512 0.383
37 F 0.894 0.988 0.117
38 F 0.917 0.250 0.750
39 F 0.949 0.656 0.943
40 F 0.949 0.844 0.557

Most intense lines, 2θ = 5–70°, by angle:
| 2θ/deg | I/Imax |
| --- | --- |
| 16.49 | 73 |
| 23.14 | 66 |
| 27.93 | 100 |
| 28.55 | 73 |
| 29.17 | 40 |
| 36.58 | 36 |
| 37.56 | 29 |
| 50.06 | 34 |
| 55.83 | 34 |
| 56.68 | 26 |



Entry 8:
Diffraction record for Y4Zr2Cd3N3. The powder XRD pattern is theoretical, not measured: it uses a DFT-relaxed cell (GGA-PBE, OQMD) and Cu Kα (λ = 1.5418 Å).
Neutral-atom scattering factors, no anomalous dispersion.

Crystal structure
Unit cell a=5.963 b=5.963 c=15.812 alpha=101.03 beta=101.03 gamma=60.09
Positions (direct):
1 Y 0.037 0.191 0.090
2 Y 0.129 0.304 0.410
3 Y 0.191 0.037 0.590
4 Y 0.304 0.129 0.910
5 Y 0.696 0.871 0.090
6 Y 0.809 0.963 0.410
7 Y 0.871 0.696 0.590
8 Y 0.963 0.809 0.910
9 Zr 0.351 0.524 0.073
10 Zr 0.476 0.649 0.427
11 Zr 0.524 0.351 0.573
12 Zr 0.649 0.476 0.927
13 Cd 0.127 0.873 0.250
14 Cd 0.295 0.417 0.751
15 Cd 0.417 0.295 0.251
16 Cd 0.583 0.705 0.749
17 Cd 0.705 0.583 0.249
18 Cd 0.873 0.127 0.750
19 N 0.000 0.500 0.000
20 N 0.181 0.660 0.500
21 N 0.340 0.819 0.000
22 N 0.500 0.000 0.500
23 N 0.660 0.181 0.000
24 N 0.819 0.340 0.500

Most intense lines, 2θ = 5–70°, by angle:
| 2θ/deg | I/Imax |
| --- | --- |
| 29.96 | 21 |
| 34.77 | 100 |
| 34.91 | 21 |
| 46.58 | 6 |
| 46.64 | 6 |
| 53.16 | 13 |
| 53.24 | 6 |
| 62.46 | 10 |
| 65.11 | 18 |
| 65.24 | 10 |



Entry 9:
Diffraction record for ZnI2. The powder XRD pattern is theoretical, not measured: it uses a DFT-relaxed cell (GGA-PBE, OQMD) and Cu Kα (λ = 1.5418 Å).
Neutral-atom scattering factors, no anomalous dispersion.

Crystal structure
Unit cell a=7.643 b=7.643 c=7.643 alpha=129.69 beta=74.41 gamma=129.06
Positions (direct):
1 Zn 0.250 0.250 0.000
2 Zn 0.750 0.750 0.000
3 I 0.121 0.226 0.346
4 I 0.379 0.726 0.105
5 I 0.621 0.274 0.895
6 I 0.879 0.774 0.654

Most intense lines, 2θ = 5–70°, by angle:
| 2θ/deg | I/Imax |
| --- | --- |
| 14.55 | 10 |
| 15.46 | 23 |
| 24.18 | 100 |
| 27.13 | 10 |
| 38.98 | 22 |
| 40.39 | 21 |
| 40.62 | 20 |
| 46.20 | 17 |
| 46.60 | 14 |
| 49.03 | 14 |



Entry 10:
Diffraction record for CsPdSeS2. The powder XRD pattern is theoretical, not measured: it uses a DFT-relaxed cell (GGA-PBE, OQMD) and Cu Kα (λ = 1.5418 Å).
Neutral-atom scattering factors, no anomalous dispersion.

Crystal structure
Unit cell a=6.468 b=7.035 c=7.824 alpha=65.28 beta=73.03 gamma=74.21
Positions (direct):
1 Cs 0.194 0.022 0.162
2 Cs 0.806 0.978 0.838
3 Pd 0.493 0.256 0.494
4 Pd 0.507 0.744 0.506
5 Se 0.031 0.464 0.354
6 Se 0.969 0.536 0.646
7 S 0.321 0.451 0.699
8 S 0.348 0.947 0.696
9 S 0.652 0.053 0.304
10 S 0.679 0.549 0.301

Most intense lines, 2θ = 5–70°, by angle:
| 2θ/deg | I/Imax |
| --- | --- |
| 12.72 | 60 |
| 15.11 | 22 |
| 21.25 | 34 |
| 22.26 | 30 |
| 24.31 | 24 |
| 26.33 | 28 |
| 26.79 | 75 |
| 29.54 | 100 |
| 30.30 | 18 |
| 30.49 | 41 |



Entry 11:
Diffraction record for GdEr2Mg3CdGa2. The powder XRD pattern is theoretical, not measured: it uses a DFT-relaxed cell (GGA-PBE, OQMD) and Cu Kα (λ = 1.5418 Å).
Neutral-atom scattering factors, no anomalous dispersion.

Crystal structure
Unit cell a=4.462 b=7.365 c=7.365 alpha=120.40 beta=90.00 gamma=90.00
Positions (direct):
1 Gd 0.000 0.000 0.000
2 Er 0.000 0.136 0.569
3 Er 0.000 0.569 0.136
4 Mg 0.500 0.319 0.319
5 Mg 0.500 0.568 0.817
6 Mg 0.500 0.817 0.568
7 Cd 0.000 0.564 0.564
8 Ga 0.500 0.237 0.901
9 Ga 0.500 0.901 0.237

Most intense lines, 2θ = 5–70°, by angle:
| 2θ/deg | I/Imax |
| --- | --- |
| 19.90 | 40 |
| 27.92 | 19 |
| 28.09 | 37 |
| 31.50 | 47 |
| 31.62 | 26 |
| 34.52 | 49 |
| 34.67 | 100 |
| 40.43 | 32 |
| 56.19 | 23 |
| 69.80 | 19 |



Question: Number 11 is which compound?
Answer: GdEr2Mg3CdGa2